(1)
Diffraction record for Np5Os. The powder X-ray diffraction pattern is theoretical, not measured: it uses a cell relaxed with GGA-PBE and λ = 1.5418 Å (Cu Kα).
Intensities are scaled so that the largest is 100.

Atomic structure:
```
data_Np5Os
_chemical_formula_sum 'Np5 Os1'
_space_group_name_H-M_alt 'P 1'
_space_group_IT_number 1
_space_group_name_Hall 'P 1'
_cell_length_a 8.117
_cell_length_b 8.117
_cell_length_c 3.710
_cell_angle_alpha 90.00
_cell_angle_beta 90.00
_cell_angle_gamma 153.06
loop_
_atom_site_label
_atom_site_fract_x
_atom_site_fract_y
_atom_site_fract_z
Np1 0.000 0.000 0.000
Np2 0.160 0.840 0.500
Np3 0.329 0.671 0.000
Np4 0.671 0.329 0.000
Np5 0.840 0.160 0.500
Os1 0.500 0.500 0.500
```

Principal peaks in the range 2θ = 10–90°, sorted by position:
2theta  d_spacing  Rel. int.
34.1  2.631  33
38.0  2.365  100
48.1  1.890  13
49.1  1.855  12
60.3  1.535  13
61.1  1.516  13
63.6  1.462  22
81.4  1.183  12

(2)
Diffraction record for Np4P6Os7. The powder X-ray diffraction pattern is theoretical, not measured: it uses a cell relaxed with GGA-PBE and λ = 1.5418 Å (Cu Kα).
Intensities are scaled so that the largest is 100.

Atomic structure:
```
data_Np4P6Os7
_chemical_formula_sum 'Np4 P6 Os7'
_space_group_name_H-M_alt 'P 1'
_space_group_IT_number 1
_space_group_name_Hall 'P 1'
_cell_length_a 7.057
_cell_length_b 7.057
_cell_length_c 7.057
_cell_angle_alpha 109.47
_cell_angle_beta 109.47
_cell_angle_gamma 109.47
loop_
_atom_site_label
_atom_site_fract_x
_atom_site_fract_y
_atom_site_fract_z
Np1 0.000 0.000 0.500
Np2 0.000 0.500 0.000
Np3 0.500 0.000 0.000
Np4 0.500 0.500 0.500
P1 0.000 0.312 0.312
P2 0.000 0.688 0.688
P3 0.312 0.000 0.312
P4 0.312 0.312 0.000
P5 0.688 0.000 0.688
P6 0.688 0.688 0.000
Os1 0.000 0.000 0.000
Os2 0.250 0.500 0.750
Os3 0.250 0.750 0.500
Os4 0.500 0.250 0.750
Os5 0.500 0.750 0.250
Os6 0.750 0.250 0.500
Os7 0.750 0.500 0.250
```

Principal peaks in the range 2θ = 10–90°, sorted by position:
2theta  d_spacing  Rel. int.
26.8  3.327  41
31.0  2.881  33
38.3  2.352  100
41.5  2.178  37
44.5  2.037  69
64.7  1.440  44
77.7  1.228  36
81.9  1.176  15

(3)
Diffraction record for Pm2NpOs2. The powder X-ray diffraction pattern is theoretical, not measured: it uses a cell relaxed with GGA-PBE and λ = 1.5418 Å (Cu Kα).
Intensities are scaled so that the largest is 100.

Atomic structure:
```
data_Pm2NpOs2
_chemical_formula_sum 'Pm4 Np2 Os4'
_space_group_name_H-M_alt 'P 1'
_space_group_IT_number 1
_space_group_name_Hall 'P 1'
_cell_length_a 5.803
_cell_length_b 5.803
_cell_length_c 8.050
_cell_angle_alpha 99.13
_cell_angle_beta 99.13
_cell_angle_gamma 61.69
loop_
_atom_site_label
_atom_site_fract_x
_atom_site_fract_y
_atom_site_fract_z
Pm1 0.018 0.282 0.151
Pm2 0.282 0.018 0.651
Pm3 0.718 0.982 0.349
Pm4 0.982 0.718 0.849
Np1 0.373 0.627 0.250
Np2 0.627 0.373 0.750
Os1 0.235 0.501 0.493
Os2 0.499 0.765 0.007
Os3 0.501 0.235 0.993
Os4 0.765 0.499 0.507
```

Principal peaks in the range 2θ = 10–90°, sorted by position:
2theta  d_spacing  Rel. int.
17.4  5.085  65
31.6  2.832  50
32.1  2.785  79
35.0  2.562  55
35.6  2.521  55
36.9  2.439  70
38.2  2.356  100
39.5  2.279  46

(4)
Diffraction record for NpOsS. The powder X-ray diffraction pattern is theoretical, not measured: it uses a cell relaxed with GGA-PBE and λ = 1.5418 Å (Cu Kα).
Intensities are scaled so that the largest is 100.

Atomic structure:
```
data_NpOsS
_chemical_formula_sum 'Np2 Os2 S2'
_space_group_name_H-M_alt 'P 1'
_space_group_IT_number 1
_space_group_name_Hall 'P 1'
_cell_length_a 3.218
_cell_length_b 3.218
_cell_length_c 11.657
_cell_angle_alpha 90.00
_cell_angle_beta 90.00
_cell_angle_gamma 90.00
loop_
_atom_site_label
_atom_site_fract_x
_atom_site_fract_y
_atom_site_fract_z
Np1 0.250 0.250 0.242
Np2 0.750 0.750 0.758
Os1 0.250 0.250 0.945
Os2 0.750 0.750 0.055
S1 0.250 0.250 0.632
S2 0.750 0.750 0.368
```

Principal peaks in the range 2θ = 10–90°, sorted by position:
2theta  d_spacing  Rel. int.
28.8  3.102  22
36.2  2.479  100
39.6  2.276  48
41.8  2.160  22
50.9  1.794  13
57.2  1.609  16
62.9  1.478  25
69.7  1.350  31

(5)
Diffraction record for NpUZnOs. The powder X-ray diffraction pattern is theoretical, not measured: it uses a cell relaxed with GGA-PBE and λ = 1.5418 Å (Cu Kα).
Intensities are scaled so that the largest is 100.

Atomic structure:
```
data_NpUZnOs
_chemical_formula_sum 'Np1 U1 Zn1 Os1'
_space_group_name_H-M_alt 'P 1'
_space_group_IT_number 1
_space_group_name_Hall 'P 1'
_cell_length_a 4.675
_cell_length_b 4.675
_cell_length_c 4.675
_cell_angle_alpha 60.00
_cell_angle_beta 60.00
_cell_angle_gamma 60.00
loop_
_atom_site_label
_atom_site_fract_x
_atom_site_fract_y
_atom_site_fract_z
Np1 0.000 0.000 0.000
U1 0.750 0.750 0.750
Zn1 0.250 0.250 0.250
Os1 0.500 0.500 0.500
```

Principal peaks in the range 2θ = 10–90°, sorted by position:
2theta  d_spacing  Rel. int.
23.3  3.817  12
27.0  3.306  3
38.5  2.338  100
45.5  1.994  7
55.6  1.653  18
61.1  1.517  3
69.7  1.350  36
82.5  1.169  12

(6)
Diffraction record for Np3P4. The powder X-ray diffraction pattern is theoretical, not measured: it uses a cell relaxed with GGA-PBE and λ = 1.5418 Å (Cu Kα).
Intensities are scaled so that the largest is 100.

Atomic structure:
```
data_Np3P4
_chemical_formula_sum 'Np6 P8'
_space_group_name_H-M_alt 'P 1'
_space_group_IT_number 1
_space_group_name_Hall 'P 1'
_cell_length_a 7.066
_cell_length_b 7.066
_cell_length_c 7.066
_cell_angle_alpha 109.47
_cell_angle_beta 109.47
_cell_angle_gamma 109.47
loop_
_atom_site_label
_atom_site_fract_x
_atom_site_fract_y
_atom_site_fract_z
Np1 0.125 0.875 0.250
Np2 0.250 0.125 0.875
Np3 0.375 0.625 0.750
Np4 0.625 0.750 0.375
Np5 0.750 0.375 0.625
Np6 0.875 0.250 0.125
P1 0.000 0.160 0.500
P2 0.000 0.660 0.500
P3 0.160 0.500 0.000
P4 0.340 0.340 0.340
P5 0.500 0.000 0.160
P6 0.500 0.000 0.660
P7 0.660 0.500 0.000
P8 0.840 0.840 0.840
```

Principal peaks in the range 2θ = 10–90°, sorted by position:
2theta  d_spacing  Rel. int.
26.8  3.331  100
34.8  2.580  61
41.4  2.181  40
50.0  1.824  33
52.6  1.739  21
57.6  1.600  27
71.2  1.324  28
88.0  1.110  22

(7)
Diffraction record for NpPaPS2. The powder X-ray diffraction pattern is theoretical, not measured: it uses a cell relaxed with GGA-PBE and λ = 1.5418 Å (Cu Kα).
Intensities are scaled so that the largest is 100.

Atomic structure:
```
data_NpPaPS2
_chemical_formula_sum 'Np1 Pa1 P1 S2'
_space_group_name_H-M_alt 'P 1'
_space_group_IT_number 1
_space_group_name_Hall 'P 1'
_cell_length_a 7.001
_cell_length_b 7.001
_cell_length_c 7.001
_cell_angle_alpha 145.99
_cell_angle_beta 145.99
_cell_angle_gamma 48.87
loop_
_atom_site_label
_atom_site_fract_x
_atom_site_fract_y
_atom_site_fract_z
Np1 0.000 0.000 0.000
Pa1 0.222 0.222 0.000
P1 0.615 0.615 0.000
S1 0.361 0.861 0.500
S2 0.861 0.361 0.500
```

Principal peaks in the range 2θ = 10–90°, sorted by position:
2theta  d_spacing  Rel. int.
22.8  3.899  100
30.3  2.949  33
30.9  2.896  42
41.7  2.164  45
42.2  2.143  44
44.2  2.048  27
50.3  1.813  26
62.4  1.487  28

(8)
Diffraction record for Np4Pa3TiP8. The powder X-ray diffraction pattern is theoretical, not measured: it uses a cell relaxed with GGA-PBE and λ = 1.5418 Å (Cu Kα).
Intensities are scaled so that the largest is 100.

Atomic structure:
```
data_Np4Pa3TiP8
_chemical_formula_sum 'Np4 Pa3 Ti1 P8'
_space_group_name_H-M_alt 'P 1'
_space_group_IT_number 1
_space_group_name_Hall 'P 1'
_cell_length_a 7.817
_cell_length_b 7.817
_cell_length_c 7.804
_cell_angle_alpha 119.73
_cell_angle_beta 119.73
_cell_angle_gamma 60.32
loop_
_atom_site_label
_atom_site_fract_x
_atom_site_fract_y
_atom_site_fract_z
Np1 0.000 0.000 0.000
Np2 0.000 0.500 0.500
Np3 0.500 0.000 0.500
Np4 0.500 0.500 0.000
Pa1 0.000 0.000 0.500
Pa2 0.000 0.500 0.000
Pa3 0.500 0.000 0.000
Ti1 0.500 0.500 0.500
P1 0.251 0.251 0.749
P2 0.260 0.260 0.262
P3 0.260 0.738 0.740
P4 0.262 0.740 0.260
P5 0.738 0.260 0.740
P6 0.740 0.262 0.260
P7 0.740 0.740 0.738
P8 0.749 0.749 0.251
```

Principal peaks in the range 2θ = 10–90°, sorted by position:
2theta  d_spacing  Rel. int.
27.9  3.201  79
28.0  3.182  26
32.3  2.768  100
46.3  1.962  37
46.5  1.953  37
54.9  1.672  22
55.0  1.669  17
57.5  1.602  13

(9)
Diffraction record for Zr2NpPaP4. The powder X-ray diffraction pattern is theoretical, not measured: it uses a cell relaxed with GGA-PBE and λ = 1.5418 Å (Cu Kα).
Intensities are scaled so that the largest is 100.

Atomic structure:
```
data_Zr2NpPaP4
_chemical_formula_sum 'Zr2 Np1 Pa1 P4'
_space_group_name_H-M_alt 'P 1'
_space_group_IT_number 1
_space_group_name_Hall 'P 1'
_cell_length_a 6.635
_cell_length_b 3.856
_cell_length_c 6.689
_cell_angle_alpha 90.00
_cell_angle_beta 109.56
_cell_angle_gamma 90.00
loop_
_atom_site_label
_atom_site_fract_x
_atom_site_fract_y
_atom_site_fract_z
Zr1 0.000 0.000 0.000
Zr2 0.000 0.500 0.500
Np1 0.500 0.000 0.500
Pa1 0.500 0.500 0.000
P1 0.237 0.000 0.745
P2 0.239 0.500 0.247
P3 0.761 0.500 0.753
P4 0.763 0.000 0.255
```

Principal peaks in the range 2θ = 10–90°, sorted by position:
2theta  d_spacing  Rel. int.
14.2  6.252  26
27.1  3.290  20
28.4  3.148  67
28.6  3.126  22
32.9  2.721  100
47.1  1.929  37
47.4  1.919  36
55.9  1.644  18

(10)
Diffraction record for Np2P6Pd21. The powder X-ray diffraction pattern is theoretical, not measured: it uses a cell relaxed with GGA-PBE and λ = 1.5418 Å (Cu Kα).
Intensities are scaled so that the largest is 100.

Atomic structure:
```
data_Np2P6Pd21
_chemical_formula_sum 'Np2 P6 Pd21'
_space_group_name_H-M_alt 'P 1'
_space_group_IT_number 1
_space_group_name_Hall 'P 1'
_cell_length_a 8.653
_cell_length_b 8.653
_cell_length_c 8.653
_cell_angle_alpha 60.00
_cell_angle_beta 60.00
_cell_angle_gamma 60.00
loop_
_atom_site_label
_atom_site_fract_x
_atom_site_fract_y
_atom_site_fract_z
Np1 0.250 0.250 0.250
Np2 0.750 0.750 0.750
P1 0.240 0.240 0.760
P2 0.240 0.760 0.240
P3 0.240 0.760 0.760
P4 0.760 0.240 0.240
P5 0.760 0.240 0.760
P6 0.760 0.760 0.240
Pd1 0.115 0.115 0.115
Pd2 0.115 0.115 0.655
Pd3 0.115 0.655 0.115
Pd4 0.155 0.500 0.500
Pd5 0.155 0.500 0.845
Pd6 0.155 0.845 0.500
Pd7 0.345 0.885 0.885
Pd8 0.500 0.155 0.500
Pd9 0.500 0.155 0.845
Pd10 0.500 0.500 0.155
Pd11 0.500 0.500 0.500
Pd12 0.500 0.500 0.845
Pd13 0.500 0.845 0.155
Pd14 0.500 0.845 0.500
Pd15 0.655 0.115 0.115
Pd16 0.845 0.155 0.500
Pd17 0.845 0.500 0.155
Pd18 0.845 0.500 0.500
Pd19 0.885 0.345 0.885
Pd20 0.885 0.885 0.345
Pd21 0.885 0.885 0.885
```

Principal peaks in the range 2θ = 10–90°, sorted by position:
2theta  d_spacing  Rel. int.
32.7  2.736  49
36.0  2.498  49
38.2  2.355  100
41.8  2.163  41
43.8  2.068  28
49.4  1.845  23
64.6  1.442  37
76.2  1.249  25

(11)
Diffraction record for NpP3Pd3. The powder X-ray diffraction pattern is theoretical, not measured: it uses a cell relaxed with GGA-PBE and λ = 1.5418 Å (Cu Kα).
Intensities are scaled so that the largest is 100.

Atomic structure:
```
data_NpP3Pd3
_chemical_formula_sum 'Np2 P6 Pd6'
_space_group_name_H-M_alt 'P 1'
_space_group_IT_number 1
_space_group_name_Hall 'P 1'
_cell_length_a 7.543
_cell_length_b 7.543
_cell_length_c 7.543
_cell_angle_alpha 53.96
_cell_angle_beta 53.96
_cell_angle_gamma 53.96
loop_
_atom_site_label
_atom_site_fract_x
_atom_site_fract_y
_atom_site_fract_z
Np1 0.168 0.168 0.168
Np2 0.832 0.832 0.832
P1 0.064 0.417 0.769
P2 0.231 0.936 0.583
P3 0.417 0.769 0.064
P4 0.583 0.231 0.936
P5 0.769 0.064 0.417
P6 0.936 0.583 0.231
Pd1 0.073 0.689 0.374
Pd2 0.311 0.626 0.927
Pd3 0.374 0.073 0.689
Pd4 0.626 0.927 0.311
Pd5 0.689 0.374 0.073
Pd6 0.927 0.311 0.626
```

Principal peaks in the range 2θ = 10–90°, sorted by position:
2theta  d_spacing  Rel. int.
15.6  5.666  17
17.6  5.049  18
29.6  3.020  100
38.4  2.342  63
45.9  1.976  44
55.6  1.653  16
61.4  1.511  18
64.1  1.453  31

(12)
Diffraction record for NpP3Pd5. The powder X-ray diffraction pattern is theoretical, not measured: it uses a cell relaxed with GGA-PBE and λ = 1.5418 Å (Cu Kα).
Intensities are scaled so that the largest is 100.

Atomic structure:
```
data_NpP3Pd5
_chemical_formula_sum 'Np2 P6 Pd10'
_space_group_name_H-M_alt 'P 1'
_space_group_IT_number 1
_space_group_name_Hall 'P 1'
_cell_length_a 6.764
_cell_length_b 6.764
_cell_length_c 11.762
_cell_angle_alpha 90.00
_cell_angle_beta 90.00
_cell_angle_gamma 145.90
loop_
_atom_site_label
_atom_site_fract_x
_atom_site_fract_y
_atom_site_fract_z
Np1 0.114 0.886 0.750
Np2 0.886 0.114 0.250
P1 0.134 0.866 0.250
P2 0.406 0.594 0.078
P3 0.406 0.594 0.422
P4 0.594 0.406 0.578
P5 0.594 0.406 0.922
P6 0.866 0.134 0.750
Pd1 0.000 0.000 0.000
Pd2 0.000 0.000 0.500
Pd3 0.229 0.771 0.079
Pd4 0.229 0.771 0.421
Pd5 0.411 0.589 0.635
Pd6 0.411 0.589 0.865
Pd7 0.589 0.411 0.135
Pd8 0.589 0.411 0.365
Pd9 0.771 0.229 0.579
Pd10 0.771 0.229 0.921
```

Principal peaks in the range 2θ = 10–90°, sorted by position:
2theta  d_spacing  Rel. int.
26.6  3.353  27
31.6  2.833  100
32.9  2.726  33
38.8  2.324  51
44.6  2.033  25
45.7  1.983  25
52.5  1.744  15
56.7  1.625  15